This entry pairs a crystal structure of Hf2Zr2Sb3 with its simulated powder XRD pattern. Radiation: Cu Kα. Structure: DFT lattice parameters and positions (PBE).

Crystal structure
```
data_Hf2Zr2Sb3
_chemical_formula_sum 'Hf4 Zr4 Sb6'
_space_group_name_H-M_alt 'P 1 21/c 1'
_space_group_IT_number 14
_space_group_name_Hall '-P 2ybc'
_cell_length_a 6.608
_cell_length_b 7.301
_cell_length_c 7.414
_cell_angle_alpha 90.00
_cell_angle_beta 109.74
_cell_angle_gamma 90.00
loop_
_atom_site_label
_atom_site_fract_x
_atom_site_fract_y
_atom_site_fract_z
Hf1 0.062 0.153 0.365
Zr1 0.363 0.692 0.956
Sb1 0.000 0.000 0.000
Sb2 0.353 0.067 0.754
```

Principal peaks in the range 10° ≤ 2θ ≤ 90°, low angle first:
| d (Å) | Position (°2θ) | I/Imax |
| --- | --- | --- |
| 3.073 | 29.05 | 70 |
| 2.653 | 33.78 | 73 |
| 2.517 | 35.67 | 100 |
| 2.441 | 36.82 | 79 |
| 2.339 | 38.48 | 89 |
| 2.298 | 39.21 | 67 |


This entry pairs a crystal structure of Hf2Zr5Sb5 with its simulated powder XRD pattern. Radiation: Cu Kα. Structure: DFT lattice parameters and positions (PBE).

Crystal structure
```
data_Hf2Zr5Sb5
_chemical_formula_sum 'Hf4 Zr10 Sb10'
_space_group_name_H-M_alt 'C 1 2/m 1'
_space_group_IT_number 12
_space_group_name_Hall '-C 2y'
_cell_length_a 14.367
_cell_length_b 3.890
_cell_length_c 11.245
_cell_angle_alpha 90.00
_cell_angle_beta 118.82
_cell_angle_gamma 90.00
loop_
_atom_site_label
_atom_site_fract_x
_atom_site_fract_y
_atom_site_fract_z
Hf1 0.061 0.000 0.260
Zr1 0.000 0.500 0.000
Zr2 0.127 0.500 0.764
Zr3 0.163 0.500 0.504
Sb1 0.000 0.000 0.500
Sb2 0.148 0.000 0.982
Sb3 0.219 0.500 0.269
```

Principal peaks in the range 10° ≤ 2θ ≤ 90°, low angle first:
| d (Å) | Position (°2θ) | I/Imax |
| --- | --- | --- |
| 2.918 | 30.64 | 22 |
| 2.621 | 34.22 | 100 |
| 2.528 | 35.51 | 97 |
| 2.463 | 36.48 | 52 |
| 1.945 | 46.70 | 28 |
| 1.527 | 60.66 | 23 |


Copy entry 2 word for word.
This entry pairs a crystal structure of Hf2Zr5Sb5 with its simulated powder XRD pattern. Radiation: Cu Kα. Structure: DFT lattice parameters and positions (PBE).

Crystal structure
```
data_Hf2Zr5Sb5
_chemical_formula_sum 'Hf4 Zr10 Sb10'
_space_group_name_H-M_alt 'C 1 2/m 1'
_space_group_IT_number 12
_space_group_name_Hall '-C 2y'
_cell_length_a 14.367
_cell_length_b 3.890
_cell_length_c 11.245
_cell_angle_alpha 90.00
_cell_angle_beta 118.82
_cell_angle_gamma 90.00
loop_
_atom_site_label
_atom_site_fract_x
_atom_site_fract_y
_atom_site_fract_z
Hf1 0.061 0.000 0.260
Zr1 0.000 0.500 0.000
Zr2 0.127 0.500 0.764
Zr3 0.163 0.500 0.504
Sb1 0.000 0.000 0.500
Sb2 0.148 0.000 0.982
Sb3 0.219 0.500 0.269
```

Principal peaks in the range 10° ≤ 2θ ≤ 90°, low angle first:
| d (Å) | Position (°2θ) | I/Imax |
| --- | --- | --- |
| 2.918 | 30.64 | 22 |
| 2.621 | 34.22 | 100 |
| 2.528 | 35.51 | 97 |
| 2.463 | 36.48 | 52 |
| 1.945 | 46.70 | 28 |
| 1.527 | 60.66 | 23 |


Please write out number 2 again, unchanged.
This entry pairs a crystal structure of Hf2Zr5Sb5 with its simulated powder XRD pattern. Radiation: Cu Kα. Structure: DFT lattice parameters and positions (PBE).

Crystal structure
```
data_Hf2Zr5Sb5
_chemical_formula_sum 'Hf4 Zr10 Sb10'
_space_group_name_H-M_alt 'C 1 2/m 1'
_space_group_IT_number 12
_space_group_name_Hall '-C 2y'
_cell_length_a 14.367
_cell_length_b 3.890
_cell_length_c 11.245
_cell_angle_alpha 90.00
_cell_angle_beta 118.82
_cell_angle_gamma 90.00
loop_
_atom_site_label
_atom_site_fract_x
_atom_site_fract_y
_atom_site_fract_z
Hf1 0.061 0.000 0.260
Zr1 0.000 0.500 0.000
Zr2 0.127 0.500 0.764
Zr3 0.163 0.500 0.504
Sb1 0.000 0.000 0.500
Sb2 0.148 0.000 0.982
Sb3 0.219 0.500 0.269
```

Principal peaks in the range 10° ≤ 2θ ≤ 90°, low angle first:
| d (Å) | Position (°2θ) | I/Imax |
| --- | --- | --- |
| 2.918 | 30.64 | 22 |
| 2.621 | 34.22 | 100 |
| 2.528 | 35.51 | 97 |
| 2.463 | 36.48 | 52 |
| 1.945 | 46.70 | 28 |
| 1.527 | 60.66 | 23 |